Calculated X-ray powder pattern
Compound: Pr9Tm4Zn11
Radiation: a wavelength of 1.5418 Å
Structure: a structure optimized by DFT (PBE)
Kinematic intensities with the Lorentz-polarization factor, no thermal factor.

Cell and atoms:
Unit cell a=13.5341 b=13.5341 c=3.5299 alpha=90.00 beta=90.00 gamma=111.32
Atoms (fractional coordinates):
Pr: 0.0000 0.0000 0.0000
Pr: 0.1301 0.6399 0.0000
Pr: 0.2914 0.4570 0.0000
Pr: 0.3601 0.8699 0.0000
Pr: 0.4570 0.2914 0.0000
Pr: 0.5430 0.7086 0.0000
Pr: 0.6399 0.1301 0.0000
Pr: 0.7086 0.5430 0.0000
Pr: 0.8699 0.3601 0.0000
Tm: 0.0559 0.2480 0.0000
Tm: 0.2480 0.0559 0.0000
Tm: 0.7520 0.9441 0.0000
Tm: 0.9441 0.7520 0.0000
Zn: 0.0815 0.4355 0.5000
Zn: 0.1377 0.8623 0.5000
Zn: 0.2290 0.2290 0.5000
Zn: 0.3365 0.6635 0.5000
Zn: 0.4355 0.0815 0.5000
Zn: 0.5000 0.5000 0.5000
Zn: 0.5645 0.9185 0.5000
Zn: 0.6635 0.3365 0.5000
Zn: 0.7710 0.7710 0.5000
Zn: 0.8623 0.1377 0.5000
Zn: 0.9185 0.5645 0.5000

Principal peaks in the range 5 to 70 degrees two-theta, low angle first:
two_theta	d [Å]	intensity
23.89	3.725	17
25.23	3.530	25
33.62	2.666	100
34.61	2.592	84
35.02	2.562	82
42.49	2.127	21
51.80	1.765	19
60.49	1.531	17
61.29	1.512	18
63.17	1.472	35

Calculated X-ray powder pattern
Compound: PrTm2Zr
Radiation: a wavelength of 1.5418 Å
Structure: a structure optimized by DFT (PBE)
Kinematic intensities with the Lorentz-polarization factor, no thermal factor.

Cell and atoms:
Unit cell a=11.4658 b=11.4658 c=11.4658 alpha=17.37 beta=17.37 gamma=17.37
Atoms (fractional coordinates):
Pr: 0.0000 0.0000 0.0000
Tm: 0.5759 0.5759 0.5759
Tm: 0.7560 0.7560 0.7560
Zr: 0.1658 0.1658 0.1658

Principal peaks in the range 5 to 70 degrees two-theta, low angle first:
two_theta	d [Å]	intensity
29.91	2.987	15
30.27	2.953	21
31.68	2.824	64
32.66	2.742	100
35.21	2.549	57
40.16	2.245	23
52.90	1.731	45
55.36	1.659	23
62.99	1.476	40
63.56	1.464	15

Calculated X-ray powder pattern
Compound: Pr4V
Radiation: a wavelength of 1.5418 Å
Structure: a structure optimized by DFT (PBE)
Kinematic intensities with the Lorentz-polarization factor, no thermal factor.

Cell and atoms:
Unit cell a=5.5626 b=5.5626 c=5.5626 alpha=90.00 beta=90.00 gamma=90.00
Atoms (fractional coordinates):
Pr: 0.0000 0.0000 0.0000
Pr: 0.0000 0.5000 0.5000
Pr: 0.5000 0.0000 0.5000
Pr: 0.5000 0.5000 0.0000
V: 0.5000 0.5000 0.5000

Principal peaks in the range 5 to 70 degrees two-theta, low angle first:
two_theta	d [Å]	intensity
15.93	5.563	3
22.61	3.933	3
27.78	3.212	100
32.18	2.781	73
36.11	2.488	1
39.69	2.271	1
46.16	1.967	53
54.73	1.677	46
57.38	1.606	19
67.33	1.391	9

Calculated X-ray powder pattern
Compound: Pr3Y2
Radiation: a wavelength of 1.5418 Å
Structure: a structure optimized by DFT (PBE)
Kinematic intensities with the Lorentz-polarization factor, no thermal factor.

Cell and atoms:
Unit cell a=9.5146 b=9.5146 c=9.5146 alpha=139.67 beta=57.37 gamma=140.98
Atoms (fractional coordinates):
Pr: 0.0982 0.6028 0.7010
Pr: 0.2500 0.2500 0.0000
Pr: 0.4018 0.1028 0.5046
Pr: 0.5982 0.8972 0.4954
Pr: 0.7500 0.7500 0.0000
Pr: 0.9018 0.3972 0.2990
Y: 0.1942 0.1320 0.3262
Y: 0.3058 0.6320 0.9378
Y: 0.6942 0.3680 0.0622
Y: 0.8058 0.8680 0.6738

Principal peaks in the range 5 to 70 degrees two-theta, low angle first:
two_theta	d [Å]	intensity
10.60	8.347	18
28.08	3.177	23
28.99	3.080	46
30.04	2.975	100
31.15	2.871	71
31.75	2.819	51
35.51	2.528	26
41.60	2.171	17
51.66	1.769	17
66.74	1.401	17

Calculated X-ray powder pattern
Compound: Pr7Y5
Radiation: a wavelength of 1.5418 Å
Structure: a structure optimized by DFT (PBE)
Kinematic intensities with the Lorentz-polarization factor, no thermal factor.

Cell and atoms:
Unit cell a=9.6910 b=9.6910 c=13.4294 alpha=117.58 beta=117.58 gamma=21.90
Atoms (fractional coordinates):
Pr: 0.0000 0.0000 0.0000
Pr: 0.1397 0.1397 0.7512
Pr: 0.1672 0.1672 0.5028
Pr: 0.4720 0.4720 0.7501
Pr: 0.5280 0.5280 0.2499
Pr: 0.8328 0.8328 0.4972
Pr: 0.8603 0.8603 0.2488
Y: 0.1940 0.1940 0.2480
Y: 0.3318 0.3318 0.9977
Y: 0.5000 0.5000 0.5000
Y: 0.6682 0.6682 0.0023
Y: 0.8060 0.8060 0.7520

Principal peaks in the range 5 to 70 degrees two-theta, low angle first:
two_theta	d [Å]	intensity
29.04	3.075	38
29.15	3.063	19
30.19	2.961	42
31.93	2.803	100
32.02	2.795	19
36.25	2.478	21
49.73	1.833	21
54.73	1.677	21
59.28	1.559	24
60.19	1.537	13

Calculated X-ray powder pattern
Compound: Pr6Y
Radiation: a wavelength of 1.5418 Å
Structure: a structure optimized by DFT (PBE)
Kinematic intensities with the Lorentz-polarization factor, no thermal factor.

Cell and atoms:
Unit cell a=7.1810 b=7.1810 c=7.1810 alpha=109.47 beta=109.47 gamma=109.47
Atoms (fractional coordinates):
Pr: 0.2500 0.5000 0.7500
Pr: 0.2500 0.7500 0.5000
Pr: 0.5000 0.2500 0.7500
Pr: 0.5000 0.7500 0.2500
Pr: 0.7500 0.2500 0.5000
Pr: 0.7500 0.5000 0.2500
Y: 0.0000 0.0000 0.0000

Principal peaks in the range 5 to 70 degrees two-theta, low angle first:
two_theta	d [Å]	intensity
15.11	5.863	48
21.43	4.146	42
26.33	3.385	100
37.58	2.394	54
40.71	2.216	62
43.66	2.073	40
49.14	1.854	18
61.23	1.514	18
63.46	1.466	26
69.94	1.345	18

Calculated X-ray powder pattern
Compound: Pr4Y3
Radiation: a wavelength of 1.5418 Å
Structure: a structure optimized by DFT (PBE)
Kinematic intensities with the Lorentz-polarization factor, no thermal factor.

Cell and atoms:
Unit cell a=5.7091 b=5.7091 c=9.2551 alpha=112.13 beta=112.13 gamma=63.47
Atoms (fractional coordinates):
Pr: 0.1386 0.1386 0.4200
Pr: 0.2855 0.2855 0.8598
Pr: 0.7145 0.7145 0.1402
Pr: 0.8614 0.8614 0.5800
Y: 0.0000 0.0000 0.0000
Y: 0.4331 0.4331 0.2884
Y: 0.5669 0.5669 0.7116

Principal peaks in the range 5 to 70 degrees two-theta, low angle first:
two_theta	d [Å]	intensity
29.62	3.016	29
29.75	3.003	29
31.49	2.841	100
42.48	2.128	22
47.66	1.908	8
53.66	1.708	11
53.85	1.703	22
53.93	1.700	11
57.21	1.610	13
65.82	1.419	6

Calculated X-ray powder pattern
Compound: Pr2Y3
Radiation: a wavelength of 1.5418 Å
Structure: a structure optimized by DFT (PBE)
Kinematic intensities with the Lorentz-polarization factor, no thermal factor.

Cell and atoms:
Unit cell a=6.8770 b=6.8770 c=9.4074 alpha=108.03 beta=108.03 gamma=55.23
Atoms (fractional coordinates):
Pr: 0.0697 0.7320 0.5504
Pr: 0.2680 0.9303 0.9496
Pr: 0.7320 0.0697 0.0504
Pr: 0.9303 0.2680 0.4496
Y: 0.1322 0.4641 0.8499
Y: 0.3335 0.6665 0.2500
Y: 0.4641 0.1322 0.3499
Y: 0.5359 0.8678 0.6501
Y: 0.6665 0.3335 0.7500
Y: 0.8678 0.5359 0.1501

Principal peaks in the range 5 to 70 degrees two-theta, low angle first:
two_theta	d [Å]	intensity
27.88	3.200	23
27.99	3.187	12
30.80	2.903	36
31.93	2.803	100
32.03	2.794	49
42.05	2.149	23
49.46	1.843	19
55.51	1.656	30
59.41	1.556	22
59.96	1.543	16

- What is the formula in the fifth record?
  Pr7Y5